Diffraction record for CsI2N2. The PXRD pattern is theoretical, not measured: it uses a crystal structure in Alexandria, relaxed with GGA-PBE and CuKα.

Top 12 peaks for 5 to 70 degrees two-theta, by intensity:
2θ 19.9, d = 4.456 Å, rel. 100; 2θ 32.6, d = 2.749 Å, rel. 85; 2θ 25.5, d = 3.493 Å, rel. 79; 2θ 41.8, d = 2.160 Å, rel. 56; 2θ 36.4, d = 2.470 Å, rel. 42; 2θ 20.6, d = 4.320 Å, rel. 37; 2θ 48.5, d = 1.878 Å, rel. 28; 2θ 27.4, d = 3.252 Å, rel. 27; 2θ 9.9, d = 8.912 Å, rel. 26; 2θ 63.1, d = 1.474 Å, rel. 26; 2θ 55.6, d = 1.654 Å, rel. 24; 2θ 18.0, d = 4.939 Å, rel. 22

Atomic structure:
a b c (Å): 4.939 4.939 8.912
angles (deg): 90.00 90.00 90.00
Fractional coordinates of all 5 atoms:
1 Cs 0.000 0.000 0.000
2 I 0.500 0.500 0.000
3 I 0.500 0.500 0.500
4 N 0.000 0.500 0.500
5 N 0.500 0.000 0.500

=====

Diffraction record for CsNbIN2. The PXRD pattern is theoretical, not measured: it uses a crystal structure in Alexandria, relaxed with GGA-PBE and CuKα.

Top 12 peaks for 5 to 70 degrees two-theta, by intensity:
2θ 28.4, d = 3.142 Å, rel. 100; 2θ 42.5, d = 2.126 Å, rel. 67; 2θ 31.0, d = 2.888 Å, rel. 55; 2θ 40.6, d = 2.222 Å, rel. 51; 2θ 51.9, d = 1.761 Å, rel. 49; 2θ 32.4, d = 2.760 Å, rel. 47; 2θ 15.3, d = 5.776 Å, rel. 34; 2θ 25.3, d = 3.522 Å, rel. 26; 2θ 67.9, d = 1.380 Å, rel. 21; 2θ 20.0, d = 4.444 Å, rel. 20; 2θ 66.5, d = 1.405 Å, rel. 18; 2θ 58.8, d = 1.571 Å, rel. 17

Atomic structure:
a b c (Å): 4.444 4.444 5.776
angles (deg): 90.00 90.00 90.00
Fractional coordinates of all 5 atoms:
1 Cs 0.000 0.000 0.000
2 Nb 0.500 0.500 0.500
3 I 0.500 0.500 0.000
4 N 0.000 0.500 0.500
5 N 0.500 0.000 0.500

=====

Diffraction record for CsOsI2N. The PXRD pattern is theoretical, not measured: it uses a crystal structure in Alexandria, relaxed with GGA-PBE and CuKα.

Top 12 peaks for 5 to 70 degrees two-theta, by intensity:
2θ 29.7, d = 3.008 Å, rel. 100; 2θ 27.7, d = 3.225 Å, rel. 64; 2θ 41.0, d = 2.200 Å, rel. 45; 2θ 42.5, d = 2.127 Å, rel. 37; 2θ 57.1, d = 1.612 Å, rel. 31; 2θ 38.1, d = 2.363 Å, rel. 26; 2θ 23.3, d = 3.820 Å, rel. 23; 2θ 31.5, d = 2.842 Å, rel. 22; 2θ 65.7, d = 1.421 Å, rel. 20; 2θ 69.9, d = 1.345 Å, rel. 17; 2θ 60.5, d = 1.529 Å, rel. 15; 2θ 47.6, d = 1.910 Å, rel. 13

Atomic structure:
a b c (Å): 6.017 6.017 3.820
angles (deg): 90.00 90.00 90.00
Fractional coordinates of all 5 atoms:
1 Cs 0.000 0.000 0.000
2 Os 0.500 0.500 0.500
3 I 0.000 0.500 0.500
4 I 0.500 0.000 0.500
5 N 0.500 0.500 0.000

=====

Diffraction record for CsRbI2N. The PXRD pattern is theoretical, not measured: it uses a crystal structure in Alexandria, relaxed with GGA-PBE and CuKα.

Top 12 peaks for 5 to 70 degrees two-theta, by intensity:
2θ 24.7, d = 3.604 Å, rel. 100; 2θ 19.7, d = 4.504 Å, rel. 60; 2θ 40.0, d = 2.252 Å, rel. 54; 2θ 15.4, d = 5.768 Å, rel. 51; 2θ 23.3, d = 3.819 Å, rel. 50; 2θ 29.2, d = 3.057 Å, rel. 44; 2θ 35.2, d = 2.549 Å, rel. 39; 2θ 31.8, d = 2.814 Å, rel. 37; 2θ 47.6, d = 1.910 Å, rel. 33; 2θ 31.0, d = 2.884 Å, rel. 28; 2θ 66.4, d = 1.407 Å, rel. 24; 2θ 38.6, d = 2.331 Å, rel. 21

Atomic structure:
a b c (Å): 7.208 7.208 5.768
angles (deg): 90.00 90.00 90.00
Fractional coordinates of all 5 atoms:
1 Cs 0.000 0.000 0.000
2 Rb 0.500 0.500 0.500
3 I 0.000 0.500 0.000
4 I 0.500 0.000 0.000
5 N 0.000 0.000 0.500

=====

Diffraction record for CsNaI2. The PXRD pattern is theoretical, not measured: it uses a crystal structure in Alexandria, relaxed with GGA-PBE and CuKα.

Top 12 peaks for 5 to 70 degrees two-theta, by intensity:
2θ 24.6, d = 3.615 Å, rel. 100; 2θ 25.8, d = 3.453 Å, rel. 65; 2θ 30.2, d = 2.961 Å, rel. 57; 2θ 19.6, d = 4.520 Å, rel. 45; 2θ 40.8, d = 2.211 Å, rel. 38; 2θ 31.1, d = 2.877 Å, rel. 35; 2θ 47.4, d = 1.919 Å, rel. 29; 2θ 36.7, d = 2.449 Å, rel. 26; 2θ 29.0, d = 3.083 Å, rel. 26; 2θ 24.4, d = 3.651 Å, rel. 25; 2θ 40.2, d = 2.242 Å, rel. 21; 2θ 48.8, d = 1.865 Å, rel. 19

Atomic structure:
a b c (Å): 5.755 4.900 14.605
angles (deg): 90.00 90.00 90.00
Fractional coordinates of all 8 atoms:
1 Cs 0.000 0.000 0.000
2 Cs 0.000 0.500 0.500
3 Na 0.500 0.000 0.220
4 Na 0.500 0.500 0.720
5 I 0.000 0.000 0.295
6 I 0.000 0.500 0.795
7 I 0.500 0.000 0.582
8 I 0.500 0.500 0.082

=====

Diffraction record for CsNaI. The PXRD pattern is theoretical, not measured: it uses a crystal structure in Alexandria, relaxed with GGA-PBE and CuKα.

Top 12 peaks for 5 to 70 degrees two-theta, by intensity:
2θ 9.3, d = 9.520 Å, rel. 100; 2θ 26.8, d = 3.322 Å, rel. 62; 2θ 28.3, d = 3.158 Å, rel. 61; 2θ 27.9, d = 3.196 Å, rel. 58; 2θ 11.3, d = 7.855 Å, rel. 44; 2θ 29.8, d = 2.998 Å, rel. 34; 2θ 25.9, d = 3.435 Å, rel. 32; 2θ 48.5, d = 1.877 Å, rel. 27; 2θ 17.3, d = 5.112 Å, rel. 26; 2θ 22.6, d = 3.928 Å, rel. 25; 2θ 22.3, d = 3.995 Å, rel. 24; 2θ 21.3, d = 4.171 Å, rel. 21

Atomic structure:
a b c (Å): 8.623 4.639 10.445
angles (deg): 90.00 114.29 90.00
Fractional coordinates of all 6 atoms:
1 Cs 0.000 0.000 0.000
2 Cs 0.252 0.000 0.503
3 Na 0.644 0.000 0.288
4 Na 0.804 0.500 0.605
5 I 0.371 0.500 0.241
6 I 0.872 0.500 0.243

=====

Diffraction record for CsNaI2. The PXRD pattern is theoretical, not measured: it uses a crystal structure in Alexandria, relaxed with GGA-PBE and CuKα.

Top 12 peaks for 5 to 70 degrees two-theta, by intensity:
2θ 27.0, d = 3.306 Å, rel. 100; 2θ 24.9, d = 3.574 Å, rel. 64; 2θ 36.4, d = 2.467 Å, rel. 56; 2θ 21.1, d = 4.217 Å, rel. 37; 2θ 48.5, d = 1.879 Å, rel. 27; 2θ 45.9, d = 1.977 Å, rel. 23; 2θ 31.9, d = 2.809 Å, rel. 22; 2θ 60.0, d = 1.543 Å, rel. 20; 2θ 21.9, d = 4.061 Å, rel. 18; 2θ 30.9, d = 2.898 Å, rel. 16; 2θ 40.5, d = 2.226 Å, rel. 15; 2θ 44.6, d = 2.030 Å, rel. 13

Atomic structure:
a b c (Å): 4.935 4.935 26.085
angles (deg): 90.00 90.00 120.00
Fractional coordinates of all 12 atoms:
1 Cs 0.000 0.000 0.000
2 Cs 0.333 0.667 0.667
3 Cs 0.667 0.333 0.333
4 Na 0.000 0.000 0.831
5 Na 0.333 0.667 0.498
6 Na 0.667 0.333 0.164
7 I 0.000 0.000 0.234
8 I 0.000 0.000 0.431
9 I 0.333 0.667 0.098
10 I 0.333 0.667 0.900
11 I 0.667 0.333 0.567
12 I 0.667 0.333 0.764

=====

Diffraction record for CsNa5I6. The PXRD pattern is theoretical, not measured: it uses a crystal structure in Alexandria, relaxed with GGA-PBE and CuKα.

Top 12 peaks for 5 to 70 degrees two-theta, by intensity:
2θ 26.3, d = 3.390 Å, rel. 100; 2θ 26.2, d = 3.404 Å, rel. 50; 2θ 22.6, d = 3.938 Å, rel. 41; 2θ 37.5, d = 2.396 Å, rel. 36; 2θ 37.3, d = 2.408 Å, rel. 35; 2θ 46.1, d = 1.969 Å, rel. 19; 2θ 37.8, d = 2.379 Å, rel. 18; 2θ 22.9, d = 3.887 Å, rel. 18; 2θ 37.2, d = 2.415 Å, rel. 17; 2θ 22.7, d = 3.912 Å, rel. 17; 2θ 44.1, d = 2.053 Å, rel. 13; 2θ 60.8, d = 1.525 Å, rel. 12

Atomic structure:
a b c (Å): 8.358 8.358 8.279
angles (deg): 99.86 99.86 120.21
Fractional coordinates of all 12 atoms:
1 Cs 0.000 0.000 0.000
2 Na 0.162 0.838 0.500
3 Na 0.330 0.670 0.000
4 Na 0.500 0.500 0.500
5 Na 0.670 0.330 0.000
6 Na 0.838 0.162 0.500
7 I 0.091 0.457 0.260
8 I 0.269 0.269 0.725
9 I 0.457 0.091 0.260
10 I 0.543 0.909 0.740
11 I 0.731 0.731 0.275
12 I 0.909 0.543 0.740